No. 1
Diffraction record for SrMnV2Ag2O8. The X-ray powder pattern is theoretical, not measured: it uses a crystal structure in the Materials Project, relaxed with GGA+U and λ = 1.5418 Å (Cu Kα).

Structural model:
```
data_SrMnV2Ag2O8
_chemical_formula_sum 'Sr4 Mn4 V8 Ag8 O32'
_cell_length_a 10.0148
_cell_length_b 5.6908
_cell_length_c 13.9325
_cell_angle_alpha 90.00
_cell_angle_beta 90.80
_cell_angle_gamma 90.00
_space_group_name_H-M_alt 'C 1 2/c 1'
_space_group_IT_number 15
_space_group_name_Hall '-C 2yc'
loop_
_atom_site_label
_atom_site_fract_x
_atom_site_fract_y
_atom_site_fract_z
Sr1 0.0000 0.0828 0.2500
Mn1 0.0000 0.0000 0.0000
V1 0.1735 0.4610 0.8699
Ag1 0.1609 0.4509 0.5959
O1 0.0746 0.2061 0.8811
O2 0.1117 0.3085 0.4416
O3 0.1583 0.0923 0.0992
O4 0.1635 0.4388 0.2532
```

Peak list (10 most intense, 2θ from 10° to 90°, sorted by position)
hkl 2 0 2, 22.0°, intensity 15
hkl 3 1 0, 31.1°, intensity 100
hkl 0 2 0, 31.5°, intensity 64
hkl 0 2 1, 32.1°, intensity 8
hkl 2 2 1, 36.9°, intensity 8
hkl 0 0 6, 38.8°, intensity 12
hkl 4 0 4, 44.8°, intensity 30
hkl 6 0 0, 55.0°, intensity 16
hkl 4 2 4, 55.8°, intensity 12
hkl 6 2 0, 64.8°, intensity 9

=====

No. 2
Diffraction record for NiAs2O7. The X-ray powder pattern is theoretical, not measured: it uses a crystal structure in the Materials Project, relaxed with GGA+U and λ = 1.5418 Å (Cu Kα).

Structural model:
```
data_NiAs2O7
_chemical_formula_sum 'Ni4 As8 O28'
_cell_length_a 6.9061
_cell_length_b 9.0557
_cell_length_c 9.8794
_cell_angle_alpha 90.00
_cell_angle_beta 101.89
_cell_angle_gamma 90.00
_space_group_name_H-M_alt 'P 1 21/c 1'
_space_group_IT_number 14
_space_group_name_Hall '-P 2ybc'
loop_
_atom_site_label
_atom_site_fract_x
_atom_site_fract_y
_atom_site_fract_z
Ni1 0.2180 0.0618 0.3165
As1 0.0467 0.7044 0.9760
As2 0.4031 0.7452 0.2479
O1 0.0392 0.5813 0.8421
O2 0.0477 0.6208 0.4096
O3 0.1579 0.1898 0.4511
O4 0.2578 0.6513 0.1024
O5 0.3557 0.2260 0.2659
O6 0.3581 0.6612 0.3939
O7 0.3693 0.5655 0.7350
```

Peak list (10 most intense, 2θ from 10° to 90°, sorted by position)
hkl 0 1 1, 13.4°, intensity 43
hkl 1 1 0, 16.4°, intensity 29
hkl 0 2 0, 19.6°, intensity 50
hkl 1 1 1, 20.1°, intensity 58
hkl 1 0 2, 24.8°, intensity 100
hkl 1 2 -2, 28.3°, intensity 74
hkl 2 1 -2, 30.6°, intensity 60
hkl 1 2 2, 31.8°, intensity 30
hkl 2 2 0, 33.1°, intensity 38
hkl 3 1 0, 41.3°, intensity 32

=====

No. 3
Diffraction record for LiMnP3O9. The X-ray powder pattern is theoretical, not measured: it uses a crystal structure in the Materials Project, relaxed with GGA+U and λ = 1.5418 Å (Cu Kα).

Structural model:
```
data_LiMnP3O9
_chemical_formula_sum 'Li4 Mn4 P12 O36'
_cell_length_a 5.3937
_cell_length_b 10.3049
_cell_length_c 11.7421
_cell_angle_alpha 90.00
_cell_angle_beta 90.00
_cell_angle_gamma 90.00
_space_group_name_H-M_alt 'P 21 21 21'
_space_group_IT_number 19
_space_group_name_Hall 'P 2ac 2ab'
loop_
_atom_site_label
_atom_site_fract_x
_atom_site_fract_y
_atom_site_fract_z
Li1 0.0736 0.0379 0.3637
Mn1 0.1096 0.3905 0.4109
P1 0.0922 0.2852 0.6830
P2 0.1176 0.9231 0.6225
P3 0.1205 0.6398 0.6340
O1 0.0123 0.5402 0.5554
O2 0.0155 0.5126 0.9582
O3 0.0730 0.4046 0.7714
O4 0.0937 0.1660 0.7708
O5 0.1251 0.7794 0.5685
O6 0.1335 0.0364 0.1690
O7 0.1384 0.3828 0.1945
O8 0.1388 0.7816 0.8904
O9 0.1591 0.7094 0.1253
```

Peak list (10 most intense, 2θ from 10° to 90°, sorted by position)
hkl 0 1 2, 17.4°, intensity 44
hkl 1 0 1, 18.1°, intensity 100
hkl 1 0 2, 22.4°, intensity 41
hkl 1 1 2, 24.0°, intensity 56
hkl 1 2 1, 25.1°, intensity 54
hkl 1 1 3, 29.5°, intensity 73
hkl 0 0 4, 30.5°, intensity 42
hkl 1 3 1, 31.8°, intensity 63
hkl 1 3 2, 34.5°, intensity 68
hkl 0 3 3, 34.8°, intensity 66

=====

No. 4
Diffraction record for MgVSiO5. The X-ray powder pattern is theoretical, not measured: it uses a crystal structure in the Materials Project, relaxed with GGA+U and λ = 1.5418 Å (Cu Kα).

Structural model:
```
data_MgVSiO5
_chemical_formula_sum 'Mg2 V2 Si2 O10'
_cell_length_a 5.1448
_cell_length_b 5.4074
_cell_length_c 6.9809
_cell_angle_alpha 104.76
_cell_angle_beta 101.16
_cell_angle_gamma 108.23
_space_group_name_H-M_alt 'P 1'
_space_group_IT_number 1
_space_group_name_Hall 'P 1'
loop_
_atom_site_label
_atom_site_fract_x
_atom_site_fract_y
_atom_site_fract_z
Mg1 0.0000 0.0000 0.0000
Mg2 0.2882 0.5933 0.4925
V1 0.6357 0.2841 0.2112
V2 0.6596 0.2730 0.7077
Si1 0.3441 0.6019 0.9390
Si2 0.9560 0.9500 0.4536
O1 0.0727 0.4882 0.7265
O2 0.2487 0.0479 0.6437
O3 0.3346 0.3928 0.0767
O4 0.3441 0.8987 0.0769
O5 0.5466 0.3518 0.4501
O6 0.6320 0.6428 0.8576
O7 0.6766 0.9226 0.5419
O8 0.7509 0.2204 0.9493
O9 0.9464 0.6483 0.3154
O10 0.9536 0.1448 0.3029
```

Peak list (10 most intense, 2θ from 10° to 90°, sorted by position)
hkl 0 1 0, 18.4°, intensity 52
hkl 1 0 0, 19.0°, intensity 28
hkl 0 1 -2, 27.6°, intensity 100
hkl 1 0 -2, 28.6°, intensity 59
hkl 1 1 0, 31.3°, intensity 88
hkl 1 -1 2, 34.4°, intensity 50
hkl 1 -2 0, 34.7°, intensity 53
hkl -1 1 2, 35.3°, intensity 42
hkl 2 -1 0, 35.8°, intensity 35
hkl -1 2 1, 40.0°, intensity 27

=====

No. 5
Diffraction record for GdTlMo2O8. The X-ray powder pattern is theoretical, not measured: it uses a crystal structure in the Materials Project, relaxed with GGA+U and λ = 1.5418 Å (Cu Kα).

Structural model:
```
data_GdTlMo2O8
_chemical_formula_sum 'Gd4 Tl4 Mo8 O32'
_cell_length_a 5.1909
_cell_length_b 18.8108
_cell_length_c 8.2516
_cell_angle_alpha 90.00
_cell_angle_beta 90.00
_cell_angle_gamma 90.00
_space_group_name_H-M_alt 'P b c n'
_space_group_IT_number 60
_space_group_name_Hall '-P 2n 2ab'
loop_
_atom_site_label
_atom_site_fract_x
_atom_site_fract_y
_atom_site_fract_z
Gd1 0.0000 0.0066 0.2500
Tl1 0.0000 0.2303 0.7500
Mo1 0.0223 0.3994 0.0163
O1 0.1016 0.3126 0.4755
O2 0.2280 0.4013 0.8411
O3 0.2407 0.4089 0.1881
O4 0.2488 0.4640 0.5041
```

Peak list (10 most intense, 2θ from 10° to 90°, sorted by position)
hkl 1 1 1, 20.8°, intensity 55
hkl 1 3 0, 22.2°, intensity 24
hkl 1 3 1, 24.7°, intensity 56
hkl 1 1 2, 28.0°, intensity 100
hkl 0 4 2, 28.8°, intensity 76
hkl 1 5 0, 29.3°, intensity 75
hkl 2 0 0, 34.6°, intensity 25
hkl 2 4 2, 45.6°, intensity 62
hkl 1 9 2, 52.1°, intensity 38
hkl 1 5 4, 53.7°, intensity 25

=====

No. 6
Diffraction record for Li3MnCo2O6. The X-ray powder pattern is theoretical, not measured: it uses a crystal structure in the Materials Project, relaxed with GGA+U and λ = 1.5418 Å (Cu Kα).

Structural model:
```
data_Li3MnCo2O6
_chemical_formula_sum 'Li3 Mn1 Co2 O6'
_cell_length_a 2.9492
_cell_length_b 5.2040
_cell_length_c 7.7703
_cell_angle_alpha 108.92
_cell_angle_beta 97.03
_cell_angle_gamma 91.57
_space_group_name_H-M_alt 'P -1'
_space_group_IT_number 2
_space_group_name_Hall '-P 1'
loop_
_atom_site_label
_atom_site_fract_x
_atom_site_fract_y
_atom_site_fract_z
Li1 0.0000 0.0000 0.0000
Li2 0.3355 0.6668 0.6686
Mn1 0.5000 0.5000 0.0000
Co1 0.1681 0.8303 0.3352
O1 0.1133 0.4267 0.1640
O2 0.2445 0.2341 0.5077
O3 0.4240 0.1024 0.8272
```

Peak list (10 most intense, 2θ from 10° to 90°, sorted by position)
hkl 0 1 -1, 18.2°, intensity 100
hkl 1 0 1, 34.7°, intensity 18
hkl 0 1 2, 35.2°, intensity 15
hkl 1 0 -2, 36.7°, intensity 12
hkl 1 -1 2, 41.7°, intensity 29
hkl 0 2 1, 42.6°, intensity 28
hkl 1 1 -3, 44.8°, intensity 23
hkl 1 1 3, 61.0°, intensity 8
hkl 1 -3 1, 61.3°, intensity 8
hkl -1 1 4, 64.0°, intensity 9

=====

No. 7
Diffraction record for Li3Co2Si2O8. The X-ray powder pattern is theoretical, not measured: it uses a crystal structure in the Materials Project, relaxed with GGA+U and λ = 1.5418 Å (Cu Kα).

Structural model:
```
data_Li3Co2Si2O8
_chemical_formula_sum 'Li6 Co4 Si4 O16'
_cell_length_a 5.0531
_cell_length_b 6.4308
_cell_length_c 10.5942
_cell_angle_alpha 90.00
_cell_angle_beta 90.48
_cell_angle_gamma 90.00
_space_group_name_H-M_alt 'P 1 c 1'
_space_group_IT_number 7
_space_group_name_Hall 'P -2yc'
loop_
_atom_site_label
_atom_site_fract_x
_atom_site_fract_y
_atom_site_fract_z
Li1 0.0000 0.0080 0.0000
Li2 0.0062 0.2515 0.2367
Li3 0.5062 0.2588 0.9184
Co1 0.0176 0.2662 0.7425
Co2 0.4998 0.2441 0.4095
Si1 0.0095 0.4945 0.4879
Si2 0.5111 0.0123 0.6691
O1 0.3319 0.4864 0.4619
O2 0.3914 0.2108 0.7456
O3 0.4010 0.1999 0.2405
O4 0.4074 0.0082 0.5195
O5 0.8385 0.0166 0.6732
O6 0.8835 0.2804 0.4200
O7 0.9002 0.2883 0.9198
O8 0.9456 0.5005 0.1371
```

Peak list (10 most intense, 2θ from 10° to 90°, sorted by position)
hkl 0 1 1, 16.1°, intensity 96
hkl 0 1 2, 21.7°, intensity 58
hkl 1 1 0, 22.4°, intensity 93
hkl 1 1 -1, 23.9°, intensity 90
hkl 1 1 1, 24.0°, intensity 100
hkl 0 1 3, 28.8°, intensity 80
hkl 0 2 2, 32.6°, intensity 99
hkl 0 0 4, 33.8°, intensity 59
hkl 2 0 0, 35.5°, intensity 93
hkl 0 2 6, 59.8°, intensity 51

=====

No. 8
Diffraction record for Li2VP2O7. The X-ray powder pattern is theoretical, not measured: it uses a crystal structure in the Materials Project, relaxed with GGA+U and λ = 1.5418 Å (Cu Kα).

Structural model:
```
data_Li2VP2O7
_chemical_formula_sum 'Li4 V2 P4 O14'
_cell_length_a 5.3604
_cell_length_b 6.7365
_cell_length_c 8.7987
_cell_angle_alpha 103.74
_cell_angle_beta 104.34
_cell_angle_gamma 106.79
_space_group_name_H-M_alt 'P -1'
_space_group_IT_number 2
_space_group_name_Hall '-P 1'
loop_
_atom_site_label
_atom_site_fract_x
_atom_site_fract_y
_atom_site_fract_z
Li1 0.0809 0.4753 0.2531
Li2 0.2659 0.1751 0.9838
V1 0.2224 0.2286 0.6335
P1 0.2363 0.8236 0.1200
P2 0.3425 0.7554 0.6161
O1 0.0286 0.7457 0.2048
O2 0.0815 0.8085 0.9437
O3 0.1434 0.8806 0.5915
O4 0.2211 0.5527 0.6613
O5 0.4003 0.0896 0.2097
O6 0.4540 0.7100 0.4741
O7 0.4552 0.7177 0.1313
```

Peak list (10 most intense, 2θ from 10° to 90°, sorted by position)
hkl 0 0 1, 11.0°, intensity 37
hkl 0 1 1, 21.1°, intensity 27
hkl 1 -1 1, 22.5°, intensity 26
hkl 1 0 -2, 23.5°, intensity 100
hkl 1 0 1, 24.5°, intensity 18
hkl 1 1 -2, 27.5°, intensity 35
hkl 1 -2 1, 29.1°, intensity 31
hkl 0 2 0, 29.4°, intensity 61
hkl 1 0 2, 33.5°, intensity 49
hkl -2 1 1, 33.8°, intensity 19